Starting from a crystal structure in Alexandria, relaxed with GGA-PBE, the X-ray powder pattern of CaB2H8O8 was calculated for Cu Kα X-rays.
Peak positions follow from Bragg's law for the DFT cell and can differ from measured ones.

Largest 12 diffraction maxima, low angle first, 10° ≤ 2θ ≤ 80°:
(0 0 1), 12.21°, I = 36; (0 1 1), 14.20°, I = 100; (1 -1 0), 23.46°, I = 76; (0 0 2), 24.57°, I = 86; (1 2 1), 24.68°, I = 80; (1 -2 0), 34.30°, I = 71; (0 1 3), 34.59°, I = 52; (1 2 3), 35.11°, I = 59; (2 2 2), 35.91°, I = 70; (2 2 0), 37.85°, I = 42; (2 -1 0), 39.13°, I = 43; (0 3 0), 39.57°, I = 36

Atomic structure:
Cell lengths 5.673, 7.734, 8.094 Å; angles 65.20, 74.08, 71.62 degrees
Space group P-1 (No. 2)
Asymmetric unit:
Ca 0.148 0.231 0.332 (multiplicity 2)
B 0.184 0.964 0.733 (multiplicity 2)
B 0.412 0.428 0.782 (multiplicity 2)
H 0.095 0.718 0.940 (multiplicity 2)
H 0.123 0.805 0.279 (multiplicity 2)
H 0.144 0.356 0.708 (multiplicity 2)
H 0.336 0.464 0.452 (multiplicity 2)
H 0.377 0.790 0.577 (multiplicity 2)
H 0.415 0.841 0.055 (multiplicity 2)
H 0.448 0.398 0.031 (multiplicity 2)
H 0.455 0.045 0.795 (multiplicity 2)
O 0.005 0.850 0.872 (multiplicity 2)
O 0.061 0.175 0.669 (multiplicity 2)
O 0.202 0.475 0.682 (multiplicity 2)
O 0.241 0.912 0.563 (multiplicity 2)
O 0.311 0.460 0.958 (multiplicity 2)
O 0.416 0.434 0.338 (multiplicity 2)
O 0.421 0.923 0.801 (multiplicity 2)
O 0.441 0.777 0.186 (multiplicity 2)